1.
The following is a theoretical X-ray diffraction stick pattern of La2NdAlBr3. It was derived from a PBE-relaxed structure, using Cu Kα, 1.54184 Å.
No peak broadening, texture or thermal motion is included.

Most intense lines, 2θ = 5–70°, in order of falling intensity:
two_theta	I/Imax
41.76	100
29.15	89
20.53	50
29.28	44
51.76	35
68.53	30
35.95	24
68.75	15
60.44	11
14.47	11

Cell and atoms:
Lattice parameters (Å, degrees): 6.126 6.126 6.101 90.00 90.00 90.00
Fractional coordinates of all 7 atoms:
La1 0.000 0.500 0.000
La2 0.500 0.000 0.000
Nd1 0.000 0.000 0.500
Al1 0.000 0.000 0.000
Br1 0.000 0.500 0.500
Br2 0.500 0.000 0.500
Br3 0.500 0.500 0.000

=====

2.
The following is a theoretical X-ray diffraction stick pattern of KTe5Pd3. It was derived from a PBE-relaxed structure, using Cu Kα, 1.54184 Å.
No peak broadening, texture or thermal motion is included.

Most intense lines, 2θ = 5–70°, in order of falling intensity:
two_theta	I/Imax
41.12	100
11.35	96
29.11	73
35.71	51
28.40	46
37.31	46
16.69	34
60.36	29
55.90	20
46.61	20

Cell and atoms:
Lattice parameters (Å, degrees): 6.134 6.134 7.795 90.00 90.00 120.00
Fractional coordinates of all 9 atoms:
K1 0.000 0.000 0.000
Te1 0.000 0.000 0.500
Te2 0.333 0.667 0.236
Te3 0.333 0.667 0.764
Te4 0.667 0.333 0.236
Te5 0.667 0.333 0.764
Pd1 0.000 0.500 0.500
Pd2 0.500 0.000 0.500
Pd3 0.500 0.500 0.500

=====

3.
The following is a theoretical X-ray diffraction stick pattern of ThAgB4. It was derived from a PBE-relaxed structure, using Cu Kα, 1.54184 Å.
No peak broadening, texture or thermal motion is included.

Most intense lines, 2θ = 5–70°, in order of falling intensity:
two_theta	I/Imax
38.87	100
20.75	89
32.49	69
39.15	51
54.27	33
32.82	32
19.29	28
42.23	22
62.66	20
58.38	16

Cell and atoms:
Lattice parameters (Å, degrees): 3.193 5.458 8.560 90.00 90.00 90.00
Fractional coordinates of all 12 atoms:
Th1 0.000 0.000 0.000
Th2 0.500 0.500 0.500
Ag1 0.000 0.000 0.500
Ag2 0.500 0.500 0.000
B1 0.000 0.318 0.260
B2 0.000 0.318 0.740
B3 0.000 0.682 0.260
B4 0.000 0.682 0.740
B5 0.500 0.182 0.240
B6 0.500 0.182 0.760
B7 0.500 0.818 0.240
B8 0.500 0.818 0.760

=====

4.
The following is a theoretical X-ray diffraction stick pattern of CdSbS2Cl. It was derived from a PBE-relaxed structure, using Cu Kα, 1.54184 Å.
No peak broadening, texture or thermal motion is included.

Most intense lines, 2θ = 5–70°, in order of falling intensity:
two_theta	I/Imax
31.07	100
23.25	98
32.47	62
46.73	46
46.46	36
45.92	33
28.69	32
25.36	29
52.07	27
44.64	27

Cell and atoms:
Lattice parameters (Å, degrees): 9.634 3.953 12.597 90.00 90.00 90.00
Fractional coordinates of all 20 atoms:
Cd1 0.001 0.250 0.231
Cd2 0.499 0.750 0.731
Cd3 0.501 0.250 0.269
Cd4 0.999 0.750 0.769
Sb1 0.185 0.250 0.531
Sb2 0.315 0.750 0.031
Sb3 0.685 0.250 0.969
Sb4 0.815 0.750 0.469
S1 0.053 0.750 0.390
S2 0.240 0.750 0.665
S3 0.260 0.250 0.165
S4 0.447 0.250 0.890
S5 0.553 0.750 0.110
S6 0.740 0.750 0.835
S7 0.760 0.250 0.335
S8 0.947 0.250 0.610
Cl1 0.073 0.250 0.894
Cl2 0.427 0.750 0.394
Cl3 0.573 0.250 0.606
Cl4 0.927 0.750 0.106

=====

5.
The following is a theoretical X-ray diffraction stick pattern of YHoSe2Br2. It was derived from a PBE-relaxed structure, using Cu Kα, 1.54184 Å.
No peak broadening, texture or thermal motion is included.

Most intense lines, 2θ = 5–70°, in order of falling intensity:
two_theta	I/Imax
29.97	100
10.19	82
44.28	67
18.80	53
31.82	45
55.42	27
41.42	26
44.15	18
41.61	17
53.32	17

Cell and atoms:
Lattice parameters (Å, degrees): 4.103 5.624 8.682 90.00 90.00 90.00
Fractional coordinates of all 6 atoms:
Y1 0.000 0.000 0.000
Ho1 0.500 0.500 0.266
Se1 0.000 0.500 0.036
Se2 0.500 0.000 0.233
Br1 0.000 0.500 0.487
Br2 0.500 0.000 0.777

=====

6.
The following is a theoretical X-ray diffraction stick pattern of SrAgTeO. It was derived from a PBE-relaxed structure, using Cu Kα, 1.54184 Å.
No peak broadening, texture or thermal motion is included.

Most intense lines, 2θ = 5–70°, in order of falling intensity:
two_theta	I/Imax
36.89	100
28.72	99
33.00	73
10.96	72
35.40	56
29.56	47
26.70	45
25.19	42
38.60	37
21.30	35

Cell and atoms:
Lattice parameters (Å, degrees): 7.336 8.070 6.519 90.00 90.00 90.00
Fractional coordinates of all 16 atoms:
Sr1 0.074 0.129 0.000
Sr2 0.426 0.129 0.500
Sr3 0.574 0.871 0.000
Sr4 0.926 0.871 0.500
Ag1 0.009 0.300 0.528
Ag2 0.491 0.300 0.028
Ag3 0.509 0.700 0.528
Ag4 0.991 0.700 0.028
Te1 0.240 0.541 0.315
Te2 0.260 0.541 0.815
Te3 0.740 0.459 0.315
Te4 0.760 0.459 0.815
O1 0.130 0.072 0.642
O2 0.370 0.072 0.142
O3 0.630 0.928 0.642
O4 0.870 0.928 0.142

=====

7.
The following is a theoretical X-ray diffraction stick pattern of Zn2Re. It was derived from a PBE-relaxed structure, using Cu Kα, 1.54184 Å.
No peak broadening, texture or thermal motion is included.

Most intense lines, 2θ = 5–70°, in order of falling intensity:
two_theta	I/Imax
43.07	100
43.26	45
41.03	38
37.65	21
12.34	16
37.85	15
56.89	13
16.41	12
13.51	10
57.04	9

Cell and atoms:
Lattice parameters (Å, degrees): 7.297 4.400 10.991 90.00 100.54 90.00
Fractional coordinates of all 24 atoms:
Zn1 0.047 0.250 0.321
Zn2 0.048 0.250 0.066
Zn3 0.070 0.250 0.573
Zn4 0.073 0.250 0.821
Zn5 0.288 0.750 0.595
Zn6 0.291 0.750 0.851
Zn7 0.391 0.250 0.984
Zn8 0.392 0.250 0.488
Zn9 0.608 0.750 0.512
Zn10 0.609 0.750 0.016
Zn11 0.709 0.250 0.149
Zn12 0.712 0.250 0.405
Zn13 0.927 0.750 0.179
Zn14 0.930 0.750 0.427
Zn15 0.952 0.750 0.934
Zn16 0.953 0.750 0.679
Re1 0.259 0.750 0.343
Re2 0.270 0.750 0.101
Re3 0.373 0.250 0.233
Re4 0.412 0.250 0.738
Re5 0.588 0.750 0.262
Re6 0.627 0.750 0.767
Re7 0.730 0.250 0.899
Re8 0.741 0.250 0.657

=====

8.
The following is a theoretical X-ray diffraction stick pattern of GaSi2Au2. It was derived from a PBE-relaxed structure, using Cu Kα, 1.54184 Å.
No peak broadening, texture or thermal motion is included.

Most intense lines, 2θ = 5–70°, in order of falling intensity:
two_theta	I/Imax
34.08	100
17.63	53
41.37	36
46.59	27
63.08	23
28.93	23
45.30	21
55.78	19
35.70	17
59.95	12

Cell and atoms:
Lattice parameters (Å, degrees): 4.364 4.364 10.059 90.00 90.00 90.00
Fractional coordinates of all 10 atoms:
Ga1 0.000 0.000 0.000
Ga2 0.500 0.500 0.500
Si1 0.000 0.000 0.383
Si2 0.000 0.000 0.617
Si3 0.500 0.500 0.117
Si4 0.500 0.500 0.883
Au1 0.000 0.500 0.250
Au2 0.000 0.500 0.750
Au3 0.500 0.000 0.250
Au4 0.500 0.000 0.750

=====

9.
The following is a theoretical X-ray diffraction stick pattern of PrNdAg2Pb2. It was derived from a PBE-relaxed structure, using Cu Kα, 1.54184 Å.
No peak broadening, texture or thermal motion is included.

Most intense lines, 2θ = 5–70°, in order of falling intensity:
two_theta	I/Imax
31.43	100
36.62	89
49.02	29
62.72	28
23.94	27
41.23	26
61.39	19
65.94	16
64.63	11
69.07	11

Cell and atoms:
Lattice parameters (Å, degrees): 4.907 4.907 7.665 90.00 90.00 120.00
Fractional coordinates of all 6 atoms:
Pr1 0.000 0.000 0.000
Nd1 0.000 0.000 0.500
Ag1 0.333 0.667 0.196
Ag2 0.667 0.333 0.693
Pb1 0.333 0.667 0.779
Pb2 0.667 0.333 0.282

=====

10.
The following is a theoretical X-ray diffraction stick pattern of Rb3CdF6. It was derived from a PBE-relaxed structure, using Cu Kα, 1.54184 Å.
No peak broadening, texture or thermal motion is included.

Most intense lines, 2θ = 5–70°, in order of falling intensity:
two_theta	I/Imax
28.07	100
28.99	68
50.81	53
41.45	31
49.09	30
38.73	25
58.02	21
68.05	14
63.73	11
60.06	9

Cell and atoms:
Lattice parameters (Å, degrees): 6.372 6.372 6.372 122.17 122.17 86.27
Fractional coordinates of all 10 atoms:
Rb1 0.000 0.000 0.000
Rb2 0.250 0.750 0.500
Rb3 0.750 0.250 0.500
Cd1 0.500 0.500 0.000
F1 0.186 0.635 0.821
F2 0.269 0.269 0.000
F3 0.365 0.186 0.551
F4 0.635 0.814 0.449
F5 0.731 0.731 0.000
F6 0.814 0.365 0.179

=====

11.
The following is a theoretical X-ray diffraction stick pattern of PrCuSe2. It was derived from a PBE-relaxed structure, using Cu Kα, 1.54184 Å.
No peak broadening, texture or thermal motion is included.

Most intense lines, 2θ = 5–70°, in order of falling intensity:
two_theta	I/Imax
25.07	100
41.26	49
49.57	27
42.04	21
48.21	17
33.72	12
65.85	11
25.77	8
60.96	6
66.96	5

Cell and atoms:
Lattice parameters (Å, degrees): 6.079 6.079 12.606 90.00 90.00 90.00
Fractional coordinates of all 16 atoms:
Pr1 0.000 0.000 0.000
Pr2 0.000 0.500 0.250
Pr3 0.500 0.000 0.750
Pr4 0.500 0.500 0.500
Cu1 0.000 0.000 0.500
Cu2 0.000 0.500 0.750
Cu3 0.500 0.000 0.250
Cu4 0.500 0.500 0.000
Se1 0.196 0.750 0.625
Se2 0.250 0.196 0.375
Se3 0.250 0.304 0.875
Se4 0.304 0.750 0.125
Se5 0.696 0.250 0.125
Se6 0.750 0.696 0.875
Se7 0.750 0.804 0.375
Se8 0.804 0.250 0.625

=====

12.
The following is a theoretical X-ray diffraction stick pattern of Co8Re7. It was derived from a PBE-relaxed structure, using Cu Kα, 1.54184 Å.
No peak broadening, texture or thermal motion is included.

Most intense lines, 2θ = 5–70°, in order of falling intensity:
two_theta	I/Imax
43.72	100
41.92	92
46.09	69
14.09	66
42.46	65
43.19	44
47.29	33
28.41	20
36.46	18
49.65	17

Cell and atoms:
Lattice parameters (Å, degrees): 8.886 8.886 4.851 90.00 90.00 90.00
Fractional coordinates of all 30 atoms:
Co1 0.039 0.371 0.000
Co2 0.065 0.268 0.500
Co3 0.129 0.539 0.500
Co4 0.232 0.565 0.000
Co5 0.268 0.065 0.500
Co6 0.371 0.039 0.000
Co7 0.435 0.768 0.000
Co8 0.461 0.871 0.500
Co9 0.539 0.129 0.500
Co10 0.565 0.232 0.000
Co11 0.629 0.961 0.000
Co12 0.732 0.935 0.500
Co13 0.768 0.435 0.000
Co14 0.871 0.461 0.500
Co15 0.935 0.732 0.500
Co16 0.961 0.629 0.000
Re1 0.000 0.000 0.500
Re2 0.105 0.105 0.000
Re3 0.188 0.812 0.249
Re4 0.188 0.812 0.751
Re5 0.312 0.312 0.251
Re6 0.312 0.312 0.749
Re7 0.395 0.605 0.500
Re8 0.500 0.500 0.000
Re9 0.605 0.395 0.500
Re10 0.688 0.688 0.251
Re11 0.688 0.688 0.749
Re12 0.812 0.188 0.249
Re13 0.812 0.188 0.751
Re14 0.895 0.895 0.000

=====

13.
The following is a theoretical X-ray diffraction stick pattern of SmYB2Pd2C2. It was derived from a PBE-relaxed structure, using Cu Kα, 1.54184 Å.
No peak broadening, texture or thermal motion is included.

Most intense lines, 2θ = 5–70°, in order of falling intensity:
two_theta	I/Imax
35.38	100
40.83	62
26.12	53
34.54	46
32.95	44
47.94	41
60.42	35
11.36	30
58.56	28
59.40	17

Cell and atoms:
Lattice parameters (Å, degrees): 3.795 3.795 7.791 90.00 90.00 90.00
Fractional coordinates of all 8 atoms:
Sm1 0.000 0.000 0.000
Y1 0.500 0.500 0.322
B1 0.000 0.000 0.505
B2 0.500 0.500 0.822
Pd1 0.000 0.500 0.661
Pd2 0.500 0.000 0.661
C1 0.000 0.000 0.315
C2 0.500 0.500 0.012